Diffraction record for CaAcCrO4. The XRD peak list is calculated, not measured: it uses a structure optimized by DFT (GGA+U) and λ = 1.5418 Å (Cu Kα).
Peak positions follow from Bragg's law for the DFT cell and can differ from measured ones.

The 6 most intense peaks (2θ from 15° to 90°), sorted by position:
16.5 deg, I = 100
29.5 deg, I = 92
30.9 deg, I = 33
31.4 deg, I = 46
36.8 deg, I = 35
53.9 deg, I = 34

Structure:
a b c (Å): 6.825 6.825 6.825
angles (deg): 122.62 115.06 92.14
Atoms (fractional coordinates):
Ca (0.361, 0.111, 0.250)
Ca (0.639, 0.889, 0.750)
Ac (0.000, 0.500, 0.500)
Ac (0.500, 0.500, 0.000)
Cr (0.000, 0.000, 0.500)
Cr (0.000, 0.500, 0.000)
O (0.186, 0.241, 0.945)
O (0.203, 0.759, 0.445)
O (0.218, 0.225, 0.508)
O (0.218, 0.710, 0.992)
O (0.782, 0.290, 0.008)
O (0.782, 0.775, 0.492)
O (0.797, 0.241, 0.555)
O (0.814, 0.759, 0.055)